Calculated XRD peak list
Compound: Sm3CoO6
Radiation: Cu Kα X-rays
Structure: a GGA+U-relaxed structure

Structural model:
a b c (Å): 7.238 7.238 5.526
angles (deg): 90.00 90.00 102.69
Element x y z (fractional)
Sm 0.104 0.896 0.500
Sm 0.197 0.413 0.549
Sm 0.413 0.197 0.049
Sm 0.587 0.803 0.549
Sm 0.803 0.587 0.049
Sm 0.896 0.104 0.000
Co 0.314 0.686 0.078
Co 0.686 0.314 0.578
O 0.084 0.605 0.257
O 0.145 0.175 0.276
O 0.175 0.145 0.776
O 0.282 0.718 0.753
O 0.395 0.916 0.257
O 0.460 0.540 0.233
O 0.540 0.460 0.733
O 0.605 0.084 0.757
O 0.718 0.282 0.253
O 0.825 0.855 0.276
O 0.855 0.825 0.776
O 0.916 0.395 0.757

Largest 10 diffraction maxima, by angle, 2θ = 15–90°:
| 2theta | d [Å] | I_rel |
| --- | --- | --- |
| 20.41 | 4.352 | 16 |
| 30.04 | 2.975 | 100 |
| 30.36 | 2.944 | 35 |
| 30.70 | 2.912 | 16 |
| 31.66 | 2.826 | 13 |
| 32.40 | 2.763 | 19 |
| 45.24 | 2.004 | 22 |
| 45.93 | 1.976 | 19 |
| 50.45 | 1.809 | 20 |
| 59.08 | 1.564 | 15 |